No. 1
The following is a simulated powder diffractogram of LiNd2TmTl4. It was derived from the PBE geometry in Alexandria, using CuKα.

Cell and atoms:
a b c (Å): 9.469 9.469 9.469
angles (deg): 32.57 32.57 32.57
Positions (direct):
1 Li 0.000 0.000 0.000
2 Nd 0.256 0.256 0.256
3 Nd 0.744 0.744 0.744
4 Tm 0.500 0.500 0.500
5 Tl 0.125 0.125 0.125
6 Tl 0.374 0.374 0.374
7 Tl 0.626 0.626 0.626
8 Tl 0.875 0.875 0.875

The 10 most intense peaks (15° ≤ 2θ ≤ 90°), by intensity:
d [Å]	intensity
2.713	100
2.655	96
1.544	37
1.898	36
1.578	19
1.533	18
3.795	17
1.192	16
1.208	16
1.356	11

No. 2
The following is a simulated powder diffractogram of Cd4Mo5. It was derived from the PBE geometry in Alexandria, using CuKα.

Cell and atoms:
a b c (Å): 6.817 6.817 6.817
angles (deg): 94.06 94.06 149.15
Positions (direct):
1 Cd 0.000 0.329 0.329
2 Cd 0.000 0.671 0.671
3 Cd 0.329 0.000 0.329
4 Cd 0.671 0.000 0.671
5 Mo 0.000 0.000 0.000
6 Mo 0.334 0.334 0.667
7 Mo 0.334 0.666 0.000
8 Mo 0.666 0.334 0.000
9 Mo 0.666 0.666 0.333

The 10 most intense peaks (15° ≤ 2θ ≤ 90°), by intensity:
d [Å]	intensity
2.355	100
2.190	40
1.294	28
1.397	18
1.549	13
1.813	11
1.178	10
1.126	9
1.095	4
2.732	1

No. 3
The following is a simulated powder diffractogram of PaGaGe2Rh. It was derived from the PBE geometry in Alexandria, using CuKα.

Cell and atoms:
a b c (Å): 5.300 5.300 8.148
angles (deg): 90.00 90.00 114.48
Positions (direct):
1 Pa 0.250 0.750 0.816
2 Pa 0.750 0.250 0.184
3 Ga 0.000 0.000 0.500
4 Ga 0.500 0.500 0.500
5 Ge 0.112 0.888 0.221
6 Ge 0.388 0.612 0.221
7 Ge 0.612 0.388 0.779
8 Ge 0.888 0.112 0.779
9 Rh 0.250 0.250 0.000
10 Rh 0.750 0.750 0.000

The 10 most intense peaks (15° ≤ 2θ ≤ 90°), by intensity:
d [Å]	intensity
2.510	100
3.007	70
2.312	50
1.972	49
2.345	39
2.868	38
4.151	38
2.214	28
3.112	28
1.577	24

No. 4
The following is a simulated powder diffractogram of Ce7Ge5Pb. It was derived from the PBE geometry in Alexandria, using CuKα.

Cell and atoms:
a b c (Å): 8.015 8.015 8.015
angles (deg): 135.36 95.78 100.81
Positions (direct):
1 Ce 0.000 0.000 0.000
2 Ce 0.360 0.677 0.683
3 Ce 0.370 0.370 0.000
4 Ce 0.468 0.133 0.335
5 Ce 0.798 0.133 0.665
6 Ce 0.843 0.343 0.500
7 Ce 0.994 0.677 0.317
8 Ge 0.155 0.193 0.520
9 Ge 0.155 0.634 0.962
10 Ge 0.395 0.895 0.500
11 Ge 0.672 0.193 0.038
12 Ge 0.672 0.634 0.480
13 Pb 0.678 0.678 0.000

The 10 most intense peaks (15° ≤ 2θ ≤ 90°), by intensity:
d [Å]	intensity
2.644	100
3.088	70
2.351	54
3.044	47
2.972	46
2.554	31
2.601	31
2.615	30
1.544	28
1.993	26

No. 5
The following is a simulated powder diffractogram of PmGa12Pt4. It was derived from the PBE geometry in Alexandria, using CuKα.

Cell and atoms:
a b c (Å): 7.651 7.651 7.651
angles (deg): 109.47 109.47 109.47
Positions (direct):
1 Pm 0.000 0.000 0.000
2 Ga 0.154 0.347 0.500
3 Ga 0.154 0.653 0.807
4 Ga 0.193 0.846 0.347
5 Ga 0.347 0.193 0.846
6 Ga 0.347 0.500 0.154
7 Ga 0.500 0.154 0.347
8 Ga 0.500 0.846 0.653
9 Ga 0.653 0.500 0.846
10 Ga 0.653 0.807 0.154
11 Ga 0.807 0.154 0.653
12 Ga 0.846 0.347 0.193
13 Ga 0.846 0.653 0.500
14 Pt 0.000 0.000 0.500
15 Pt 0.000 0.500 0.000
16 Pt 0.500 0.000 0.000
17 Pt 0.500 0.500 0.500

The 10 most intense peaks (15° ≤ 2θ ≤ 90°), by intensity:
d [Å]	intensity
3.123	100
1.803	92
2.794	82
1.975	76
4.417	59
2.361	41
1.397	32
1.733	30
2.209	20
1.181	20

No. 6
The following is a simulated powder diffractogram of Ta4Pd9Rh3. It was derived from the PBE geometry in Alexandria, using CuKα.

Cell and atoms:
a b c (Å): 5.580 5.580 9.158
angles (deg): 90.00 90.00 120.00
Positions (direct):
1 Ta 0.000 0.000 0.000
2 Ta 0.333 0.667 0.232
3 Ta 0.333 0.667 0.768
4 Ta 0.667 0.333 0.500
5 Pd 0.168 0.336 0.500
6 Pd 0.168 0.832 0.500
7 Pd 0.335 0.167 0.250
8 Pd 0.335 0.167 0.750
9 Pd 0.664 0.832 0.500
10 Pd 0.833 0.167 0.250
11 Pd 0.833 0.167 0.750
12 Pd 0.833 0.665 0.250
13 Pd 0.833 0.665 0.750
14 Rh 0.501 0.002 0.000
15 Rh 0.501 0.499 0.000
16 Rh 0.998 0.499 0.000

The 10 most intense peaks (15° ≤ 2θ ≤ 90°), by intensity:
d [Å]	intensity
2.137	100
2.336	44
2.290	35
1.191	26
1.895	23
1.395	22
1.290	18
1.168	14
1.460	10
2.416	8